For Ce2PrSi2Ni2, the PBE geometry in Alexandria gives the theoretical XRD peak list in this record (Cu Kα (λ = 1.5418 Å)).
Neutral-atom scattering factors, no anomalous dispersion.

The 12 most intense peaks (2θ from 10° to 90°), by angle:
| 2θ/deg | d [Å] | intensity |
| --- | --- | --- |
| 25.0 | 3.566 | 34 |
| 28.0 | 3.188 | 13 |
| 29.7 | 3.012 | 11 |
| 33.8 | 2.655 | 100 |
| 36.1 | 2.487 | 45 |
| 43.6 | 2.076 | 65 |
| 53.0 | 1.726 | 12 |
| 56.2 | 1.636 | 23 |
| 57.8 | 1.594 | 11 |
| 68.2 | 1.376 | 24 |
| 73.7 | 1.285 | 21 |
| 75.1 | 1.264 | 11 |

Structure:
```
7
Lattice="2.0765 1.1989 9.1828 -2.0765 1.1989 9.1828 0.0000 -2.3977 9.1828" Properties=species:S:1:pos:R:3 pbc="T T T"
Ce 0.0000 0.0000 3.7934
Ce 0.0000 0.0000 23.7550
Pr 0.0000 0.0000 0.0000
Si 0.0000 0.0000 7.1347
Si 0.0000 0.0000 20.4137
Ni 0.0000 0.0000 11.3155
Ni 0.0000 0.0000 16.2329
```